# TbY2Ge3PdPt2
Theoretical powder diffractogram, Cu Kα (weighted mean of Kα1 and Kα2). Input: a PBE-relaxed structure.
Neutral-atom scattering factors, no anomalous dispersion.

Principal peaks in the range 10° ≤ 2θ ≤ 90°, sorted by position:
| 2θ/deg | I/Imax | index |
| --- | --- | --- |
| 24.5 | 32 | 0 0 2 |
| 26.8 | 19 | 1 2 0 |
| 33.7 | 100 | 1 3 1 |
| 36.7 | 98 | 1 4 0 |
| 37.9 | 34 | 0 1 3 |
| 43.2 | 52 | 0 6 0 |
| 44.6 | 42 | 1 4 2 |
| 46.3 | 29 | 2 0 0 |
| 65.2 | 31 | 2 6 0 |
| 69.5 | 31 | 1 1 5 |

a b c (Å): 3.918 12.566 7.254
angles (deg): 90.00 90.00 90.00
Space group Amm2 (No. 38)
Asymmetric unit:
Tb  0.000  0.000  0.000
Y  0.000  0.203  0.392
Ge  0.500  0.000  0.339
Ge  0.500  0.128  0.722
Pd  0.000  0.000  0.594
Pt  0.500  0.167  0.094